This entry pairs a crystal structure of NaV2TcO8 with its computed XRD peak list. Radiation: copper Kα. Structure: DFT lattice parameters and positions (GGA+U).
Neutral-atom scattering factors, no anomalous dispersion.

The 10 most intense peaks (10° ≤ 2θ ≤ 90°), sorted by position:
- 2θ = 18.2°, I 32
- 2θ = 19.6°, I 29
- 2θ = 25.8°, I 100
- 2θ = 35.0°, I 54
- 2θ = 36.8°, I 11
- 2θ = 39.7°, I 11
- 2θ = 51.7°, I 54
- 2θ = 53.1°, I 17
- 2θ = 59.9°, I 10
- 2θ = 65.2°, I 18

Structural model:
```
12
Lattice="-3.4503 3.4503 3.0108 3.4503 -3.4503 3.0108 3.4503 3.4503 -3.0108" Properties=species:S:1:pos:R:3 pbc="T T T"
Na 0.0000 0.0000 0.0000
V 3.4503 0.0000 1.5054
V 0.0000 0.0000 3.0108
Tc 0.0000 3.4503 1.5054
O 2.2391 0.0000 0.2473
O 4.6615 0.0000 0.2473
O 3.4503 2.0090 -0.9893
O 3.4503 -1.2112 2.7634
O 0.0000 1.4413 2.0215
O 3.4503 1.2112 2.7634
O 2.0090 3.4503 0.9893
O 1.4413 0.0000 4.0001
```

---

This entry pairs a crystal structure of Na2TcWO6 with its computed XRD peak list. Radiation: copper Kα. Structure: DFT lattice parameters and positions (GGA+U).
Neutral-atom scattering factors, no anomalous dispersion.

The 10 most intense peaks (10° ≤ 2θ ≤ 90°), sorted by position:
- 2θ = 22.6°, I 100
- 2θ = 22.8°, I 49
- 2θ = 32.2°, I 50
- 2θ = 32.4°, I 99
- 2θ = 46.2°, I 37
- 2θ = 52.1°, I 41
- 2θ = 52.4°, I 20
- 2θ = 57.6°, I 39
- 2θ = 57.8°, I 19
- 2θ = 67.8°, I 21

Structural model:
```
10
Lattice="5.5537 0.0000 0.0000 0.0000 5.5537 0.0000 0.0000 0.0000 3.8969" Properties=species:S:1:pos:R:3 pbc="T T T"
Na 0.0000 2.7769 0.0000
Na 2.7769 0.0000 0.0000
Tc 0.0000 0.0000 1.9484
W 2.7769 2.7769 1.9484
O 0.0000 0.0000 0.0000
O 1.4105 1.4105 1.9484
O 1.4105 4.1432 1.9484
O 2.7769 2.7769 0.0000
O 4.1432 1.4105 1.9484
O 4.1432 4.1432 1.9484
```

---

This entry pairs a crystal structure of NaTcWO6 with its computed XRD peak list. Radiation: copper Kα. Structure: DFT lattice parameters and positions (GGA+U).
Neutral-atom scattering factors, no anomalous dispersion.

The 10 most intense peaks (10° ≤ 2θ ≤ 90°), sorted by position:
- 2θ = 19.1°, I 26
- 2θ = 20.6°, I 69
- 2θ = 25.9°, I 100
- 2θ = 32.4°, I 21
- 2θ = 34.3°, I 75
- 2θ = 37.0°, I 20
- 2θ = 51.4°, I 63
- 2θ = 53.3°, I 18
- 2θ = 65.0°, I 19
- 2θ = 66.2°, I 21

Structural model:
```
18
Lattice="4.8588 0.0000 0.0000 0.0000 4.8588 0.0000 0.0000 0.0000 9.2883" Properties=species:S:1:pos:R:3 pbc="T T T"
Na 0.0000 0.0000 0.0000
Na 2.4294 2.4294 4.6441
Tc 0.0000 0.0000 3.0415
Tc 2.4294 2.4294 7.6856
W 0.0000 0.0000 6.1947
W 2.4294 2.4294 1.5506
O 0.8442 0.8442 4.6203
O 1.0632 1.0632 7.4595
O 1.0676 1.0676 1.7650
O 1.3618 3.4970 6.4091
O 1.3662 3.4926 2.8154
O 1.5852 3.2736 9.2645
O 3.2736 1.5852 9.2645
O 3.4926 1.3662 2.8154
O 3.4970 1.3618 6.4091
O 3.7912 3.7912 1.7650
O 3.7956 3.7956 7.4595
O 4.0146 4.0146 4.6203
```